Entry 1:
Diffraction record for EuC2. The powder XRD pattern is simulated, not measured: it uses the PBE geometry in the Materials Project and Cu Kα.

Peak list (12 most intense, 15 to 90 degrees two-theta, by angle)
2theta  I (rel.)
24.76  22
25.01  57
25.98  84
27.30  44
29.50  100
31.57  53
42.27  35
42.46  20
43.92  20
45.19  31
49.13  19
51.75  15

```
6
Lattice="3.4025 -2.1536 0.0000 3.4025 2.1536 0.0000 -2.0726 0.0000 7.1216" Properties=species:S:1:pos:R:3 pbc="T T T"
Eu 1.8481 1.3621 5.3412
Eu 2.8844 -1.3621 1.7804
C 1.8128 0.6112 0.4178
C 0.7765 -0.6112 3.9786
C 3.9560 0.6112 3.1430
C 2.9197 -0.6112 6.7038
```


Entry 2:
Diffraction record for EuH6CI3N. The powder XRD pattern is simulated, not measured: it uses the PBE geometry in the Materials Project and Cu Kα.

Peak list (12 most intense, 15 to 90 degrees two-theta, by angle)
2theta  I (rel.)
23.15  68
23.88  26
24.02  25
26.86  94
28.15  97
30.09  26
30.24  26
31.55  100
39.30  38
41.82  25
42.04  65
60.18  27

```
48
Lattice="6.3426 -6.3384 0.0000 6.3426 6.3384 0.0000 -0.1169 0.0000 13.2793" Properties=species:S:1:pos:R:3 pbc="T T T"
Eu 6.2842 6.2862 6.6397
Eu 6.3306 0.1100 13.2657
Eu 6.3890 -0.1100 6.6260
Eu 6.3426 -6.2862 0.0000
H 3.1736 3.1707 2.0926
H 3.2521 3.2881 8.7321
H 4.0236 3.9380 3.4759
H 2.3734 1.4329 3.6412
H 3.1688 2.1594 4.9142
H 3.9695 2.3730 10.0991
H 4.0482 1.4915 3.6647
H 2.3150 -1.4329 10.2809
H 7.9181 3.9694 3.5748
H 3.1104 -2.1594 11.5538
H 8.5569 3.1577 4.8794
H 3.9897 -1.4915 10.3044
H 7.8769 2.2971 3.6231
H 8.5232 2.4649 10.0901
H 3.1151 -3.1707 8.7323
H 4.0280 -2.3730 3.4595
H 3.3106 -3.2881 2.0924
H 3.9651 -3.9380 10.1156
H 10.3231 2.1806 3.5116
H 7.8185 -2.2971 10.2627
H 8.5816 -2.4649 3.4504
H 8.4985 -3.1577 11.5191
H 7.8597 -3.9694 10.2145
H 10.2646 -2.1806 10.1512
C 3.3944 3.2614 9.8180
C 9.4384 2.9939 9.8140
C 3.4529 -3.2614 3.1783
C 9.4969 -2.9939 3.1743
I 0.1122 0.0577 9.9411
I 0.1706 -0.0577 3.3015
I 3.1083 0.8135 13.1975
I 5.6685 3.0819 6.5120
I 7.1629 3.2587 13.2635
I 3.1667 -0.8135 6.5578
I 6.3309 0.1141 3.2814
I 6.2725 -0.1141 9.9211
I 5.6100 -3.0819 13.1517
I 9.5085 0.7232 6.5226
I 9.4500 -0.7232 13.1623
I 7.2214 -3.2587 6.6239
N 3.1895 2.0312 3.8850
N 3.1310 -2.0312 10.5246
N 8.4604 3.1283 3.8472
N 8.4020 -3.1283 10.4869
```


Entry 3:
Diffraction record for EuH9C5N2O8. The powder XRD pattern is simulated, not measured: it uses the PBE geometry in the Materials Project and Cu Kα.

Peak list (12 most intense, 15 to 90 degrees two-theta, by angle)
2theta  I (rel.)
15.96  63
17.39  48
17.92  100
21.48  90
26.87  64
28.64  52
28.78  52
29.62  42
32.60  38
34.16  48
40.47  32
43.77  37

```
25
Lattice="5.8569 -3.7409 0.0000 5.8569 3.7409 0.0000 -2.1828 0.0000 6.5016" Properties=species:S:1:pos:R:3 pbc="T T T"
Eu 0.0000 0.0000 0.0000
H 4.7655 3.1456 3.2508
H 2.3500 0.5703 2.7423
H 3.8848 0.3261 5.2833
H 3.3686 -1.1937 0.7798
H 5.6462 0.3261 1.2183
H 3.1674 -0.8146 3.4933
H 7.1811 0.5703 3.7593
H 6.3637 -0.8146 3.0083
H 6.1625 -1.1937 5.7218
C 3.2623 0.8885 4.5641
C 6.2687 0.8885 1.9375
C 0.9677 -1.5855 6.2643
C 4.7655 -3.2275 3.2508
C 8.5633 -1.5855 0.2373
N 2.8817 0.1651 3.5191
N 6.6493 0.1651 2.9825
O 3.7949 2.4886 0.7853
O 2.9668 2.0945 4.7572
O 5.7361 2.4886 5.7163
O 6.5642 2.0945 1.7444
O 1.8485 -2.3418 5.7330
O 4.3295 -2.6445 4.2956
O 5.2015 -2.6445 2.2060
O 7.6825 -2.3418 0.7686
```


Entry 4:
Diffraction record for LiEu4C3I3N6. The powder XRD pattern is simulated, not measured: it uses the PBE geometry in the Materials Project and Cu Kα.

Peak list (12 most intense, 15 to 90 degrees two-theta, by angle)
2theta  I (rel.)
19.09  42
26.21  48
28.59  76
31.72  100
32.62  50
33.38  23
42.92  19
47.74  16
49.83  31
51.03  22
58.25  23
77.44  17

```
34
Lattice="10.7386 0.0000 0.0000 -5.3693 9.2999 0.0000 0.0000 0.0000 6.8014" Properties=species:S:1:pos:R:3 pbc="T T T"
Li 0.0000 0.0000 0.0000
Li 0.0000 0.0000 3.4007
Eu 0.0000 3.9502 1.7003
Eu -1.9483 7.3248 1.7003
Eu 0.0000 6.1999 5.1010
Eu 3.4210 1.9751 5.1010
Eu 1.9483 7.3248 1.7003
Eu 5.3693 3.1000 1.7003
Eu 7.3176 1.9751 5.1010
Eu 5.3693 5.3497 5.1010
C -2.6846 4.6499 0.0000
C -2.6846 4.6499 3.4007
C 5.3693 0.0000 0.0000
C 5.3693 0.0000 3.4007
C 2.6846 4.6499 0.0000
C 2.6846 4.6499 3.4007
I 0.0000 2.4457 5.1010
I -3.2513 8.0771 5.1010
I 2.1180 1.2228 1.7003
I 3.2513 8.0771 5.1010
I 8.6206 1.2228 1.7003
I 5.3693 6.8542 1.7003
N -1.6202 5.2645 0.1733
N -1.6202 5.2645 3.2274
N 1.6202 5.2645 0.1733
N 1.6202 5.2645 3.2274
N 0.0000 8.0708 0.1733
N 0.0000 8.0708 3.2274
N 5.3693 1.2291 3.5739
N 5.3693 1.2291 6.6281
N 3.7491 4.0354 3.5739
N 3.7491 4.0354 6.6281
N 6.9895 4.0354 3.5739
N 6.9895 4.0354 6.6281
```